This entry pairs a crystal structure of CaMoAs2O8 with its simulated X-ray diffraction stick pattern. Radiation: Cu Kα X-rays. Structure: a crystal structure in Alexandria, relaxed with GGA+U.
Peak positions follow from Bragg's law for the DFT cell and can differ from measured ones.

Crystal structure
```
CaMoAs2O8
1.0
5.5074 0.0000 0.0000
-2.7537 4.7695 0.0000
0.0000 0.0000 6.7274
Ca Mo As O
1 1 2 8
Direct
0.0000 0.0000 0.0000
0.0000 0.0000 0.5000
0.3333 0.6667 0.2170
0.6667 0.3333 0.7830
0.1620 0.3240 0.3000
0.1620 0.8380 0.3000
0.3240 0.1620 0.7000
0.3333 0.6667 0.9687
0.6667 0.3333 0.0313
0.6760 0.8380 0.3000
0.8380 0.1620 0.7000
0.8380 0.6760 0.7000
```

Peak list (6 most intense, 2θ from 10° to 90°, sorted by position)
(1 0 0), 2θ = 18.60°, d = 4.770 Å, I 12; (1 0 1), 2θ = 22.86°, d = 3.891 Å, I 100; (1 1 0), 2θ = 32.54°, d = 2.752 Å, I 95; (2 0 2), 2θ = 46.69°, d = 1.945 Å, I 27; (2 1 1), 2θ = 52.58°, d = 1.741 Å, I 26; (3 0 0), 2θ = 58.04°, d = 1.589 Å, I 26